Calculated powder diffractogram of V2Fe2PbO8F2 for Cu Ka, from a structure optimized by DFT (PBE+U).
No peak broadening, texture or thermal motion is included.

Structural model:
Unit cell a=9.336 b=6.186 c=7.977 alpha=90.00 beta=114.15 gamma=90.00
Space group C2/m (No. 12)
Asymmetric unit:
V: 0.068 0.000 0.259
Fe: 0.250 0.250 0.000
Pb: 0.000 0.500 0.500
O: 0.050 0.231 0.768
O: 0.169 0.000 0.105
O: 0.210 0.000 0.470
F: 0.166 0.500 0.089

Most intense lines, 10° ≤ 2θ ≤ 80°, sorted by position:
2theta  I/Imax  hkl
18.95  100  1 1 -1
19.37  53  2 0 -1
24.46  23  0 0 2
26.60  85  1 1 -2
28.28  56  2 0 1
31.43  51  0 2 1
32.21  51  3 1 -1
33.75  35  1 1 2
34.29  43  2 0 -3
35.88  28  2 2 0
38.44  32  2 2 -2
53.13  35  4 2 -3